(1)
Structure and theoretical powder diffractogram of LiVSiO4 (a cell relaxed with PBE+U; CuKα).

Atomic structure:
a = 9.1584 Å, b = 6.3111 Å, c = 4.9070 Å
α = 90.00°, β = 90.00°, γ = 90.00°
Space group Pnma (No. 62)
Unique sites:
Li (0.1663, 0.2500, 0.0221) x4
V (0.0000, 0.0000, 0.5000) x4
Si (0.1782, 0.7500, 0.0232) x4
O (0.1186, 0.5351, 0.1708) x8
O (0.1247, 0.7500, 0.6977) x4
O (0.1416, 0.2500, 0.5909) x4

Principal peaks in the range 2θ = 10–90°, in order of falling intensity:
- 34.56 deg, rel. 100.0, (3 0 1)
- 20.53 deg, rel. 44.2, (1 0 1)
- 24.96 deg, rel. 41.3, (1 1 1)
- 35.21 deg, rel. 28.5, (1 2 1)
- 51.21 deg, rel. 25.1, (2 2 2)
- 39.23 deg, rel. 24.8, (2 2 1)
- 61.51 deg, rel. 23.7, (5 2 1)
- 65.03 deg, rel. 19.5, (1 2 3)
- 24.01 deg, rel. 16.2, (2 1 0)
- 19.38 deg, rel. 16.1, (2 0 0)



(2)
Structure and theoretical powder diffractogram of CoSnF6 (a cell relaxed with PBE+U; CuKα).

Atomic structure:
a = 5.3333 Å, b = 5.3333 Å, c = 14.0029 Å
α = 90.00°, β = 90.00°, γ = 120.00°
Space group R-3 (No. 148, hexagonal axes)
Unique sites:
Co (0.0000, 0.0000, 0.0000) x3
Sn (0.0000, 0.0000, 0.5000) x3
F (0.0047, 0.6197, 0.2490) x18

Principal peaks in the range 2θ = 10–90°, in order of falling intensity:
- 23.07 deg, rel. 100.0, (0 1 2)
- 52.08 deg, rel. 28.5, (1 1 6)
- 32.08 deg, rel. 28.2, (1 0 4)
- 47.15 deg, rel. 18.3, (0 2 4)
- 54.15 deg, rel. 16.2, (1 2 2)
- 33.61 deg, rel. 15.2, (1 1 0)
- 38.90 deg, rel. 14.4, (1 1 3)
- 59.14 deg, rel. 12.0, (2 1 4)
- 20.25 deg, rel. 11.4, (1 0 1)
- 60.10 deg, rel. 11.2, (3 0 0)



(3)
Structure and theoretical powder diffractogram of Cr2CoO4 (a cell relaxed with PBE+U; CuKα).

Atomic structure:
a = 8.4687 Å, b = 8.4687 Å, c = 8.4687 Å
α = 90.00°, β = 90.00°, γ = 90.00°
Space group Fd-3m (No. 227, origin choice 2)
Unique sites:
Cr (0.0000, 0.0000, 0.0000) x16
Co (0.1250, 0.1250, 0.6250) x8
O (0.0114, 0.0114, 0.2386) x32

Principal peaks in the range 2θ = 10–90°, in order of falling intensity:
- 35.15 deg, rel. 100.0, (3 1 1)
- 61.99 deg, rel. 44.3, (4 4 0)
- 56.46 deg, rel. 36.4, (5 1 1)
- 29.84 deg, rel. 34.8, (2 2 0)
- 42.71 deg, rel. 17.1, (4 0 0)
- 88.73 deg, rel. 15.9, (5 5 3)
- 52.97 deg, rel. 11.7, (4 2 2)
- 73.30 deg, rel. 9.8, (5 3 3)
- 18.14 deg, rel. 6.9, (1 1 1)
- 36.76 deg, rel. 6.1, (2 2 2)



(4)
Structure and theoretical powder diffractogram of Rb3LiTbV2O8 (a cell relaxed with PBE+U; CuKα).

Atomic structure:
a = 5.9212 Å, b = 6.3518 Å, c = 8.3129 Å
α = 90.48°, β = 90.03°, γ = 117.59°
Space group P1 (No. 1)
Unique sites:
Rb (0.0000, 0.0000, 0.0000) x1
Rb (0.2565, 0.5183, 0.4897) x1
Rb (0.6549, 0.3105, 0.7770) x1
Li (0.7967, 0.6124, 0.1954) x1
Tb (0.5825, 0.1678, 0.2732) x1
V (0.2756, 0.5566, 0.0426) x1
V (0.9303, 0.8642, 0.5104) x1
O (0.2273, 0.4550, 0.8445) x1
O (0.2494, 0.0228, 0.4473) x1
O (0.4433, 0.8762, 0.0977) x1
O (0.4513, 0.4076, 0.1401) x1
O (0.7726, 0.0285, 0.4516) x1
O (0.7832, 0.5771, 0.4226) x1
O (0.9125, 0.8207, 0.7116) x1
O (0.9512, 0.4172, 0.1391) x1

Principal peaks in the range 2θ = 10–90°, in order of falling intensity:
- 27.33 deg, rel. 100.0, (1 0 -2)
- 28.15 deg, rel. 99.2, (1 -2 0)
- 27.45 deg, rel. 87.2, (1 0 2)
- 30.19 deg, rel. 78.6, (2 -1 0)
- 10.64 deg, rel. 39.3, (0 0 1)
- 20.00 deg, rel. 31.3, (1 0 -1)
- 26.78 deg, rel. 30.5, (0 1 2)
- 52.45 deg, rel. 24.7, (3 -3 0)
- 51.91 deg, rel. 23.4, (-3 1 2)
- 38.81 deg, rel. 23.3, (0 2 2)